[1]
This entry pairs a crystal structure of Li3Ga3Bi with its simulated powder diffraction line list. Radiation: a wavelength of 1.5418 Å. Structure: a GGA-PBE-relaxed structure.
Neutral-atom scattering factors, no anomalous dispersion.

Top 10 peaks for 10° ≤ 2θ ≤ 90°, low angle first:
- 2θ 18.1, intensity 37
- 2θ 25.8, intensity 42
- 2θ 28.9, intensity 30
- 2θ 31.7, intensity 100
- 2θ 49.3, intensity 59
- 2θ 53.0, intensity 14
- 2θ 59.8, intensity 17
- 2θ 63.1, intensity 14
- 2θ 75.3, intensity 17
- 2θ 86.8, intensity 19

Structural model:
Lattice parameters (Å, degrees): 6.9148 6.9148 6.9148 90.00 90.00 90.00
Fractional coordinates of all 14 atoms:
1 Li 0.0000 0.2500 0.5000
2 Li 0.0000 0.7500 0.5000
3 Li 0.2500 0.5000 0.0000
4 Li 0.5000 0.0000 0.2500
5 Li 0.5000 0.0000 0.7500
6 Li 0.7500 0.5000 0.0000
7 Ga 0.0000 0.5000 0.2500
8 Ga 0.0000 0.5000 0.7500
9 Ga 0.2500 0.0000 0.5000
10 Ga 0.5000 0.2500 0.0000
11 Ga 0.5000 0.7500 0.0000
12 Ga 0.7500 0.0000 0.5000
13 Bi 0.0000 0.0000 0.0000
14 Bi 0.5000 0.5000 0.5000

[2]
This entry pairs a crystal structure of Li4GaBi5 with its simulated powder diffraction line list. Radiation: a wavelength of 1.5418 Å. Structure: a GGA-PBE-relaxed structure.
Neutral-atom scattering factors, no anomalous dispersion.

Top 10 peaks for 10° ≤ 2θ ≤ 90°, low angle first:
- 2θ 20.8, intensity 56
- 2θ 26.3, intensity 67
- 2θ 33.7, intensity 100
- 2θ 37.5, intensity 39
- 2θ 43.2, intensity 35
- 2θ 50.5, intensity 20
- 2θ 54.0, intensity 14
- 2θ 57.8, intensity 20
- 2θ 58.5, intensity 16
- 2θ 65.2, intensity 31

Structural model:
Lattice parameters (Å, degrees): 3.3938 3.3938 21.3531 90.00 90.00 90.00
Fractional coordinates of all 10 atoms:
1 Li 0.0000 0.0000 0.0977
2 Li 0.0000 0.0000 0.2920
3 Li 0.0000 0.0000 0.7080
4 Li 0.0000 0.0000 0.9023
5 Ga 0.0000 0.0000 0.5000
6 Bi 0.5000 0.5000 0.0000
7 Bi 0.5000 0.5000 0.1959
8 Bi 0.5000 0.5000 0.3914
9 Bi 0.5000 0.5000 0.6086
10 Bi 0.5000 0.5000 0.8041

[3]
This entry pairs a crystal structure of Li4GaBi3S8 with its simulated powder diffraction line list. Radiation: a wavelength of 1.5418 Å. Structure: a GGA-PBE-relaxed structure.
Neutral-atom scattering factors, no anomalous dispersion.

Top 10 peaks for 10° ≤ 2θ ≤ 90°, low angle first:
- 2θ 14.1, intensity 100
- 2θ 26.9, intensity 75
- 2θ 28.1, intensity 27
- 2θ 32.6, intensity 60
- 2θ 32.8, intensity 30
- 2θ 35.8, intensity 25
- 2θ 46.7, intensity 32
- 2θ 47.1, intensity 21
- 2θ 49.0, intensity 20
- 2θ 58.1, intensity 16

Structural model:
Lattice parameters (Å, degrees): 7.7197 7.7197 7.7442 119.60 119.60 60.61
Fractional coordinates of all 16 atoms:
1 Li 0.0000 0.0000 0.0000
2 Li 0.0000 0.5000 0.5000
3 Li 0.5000 0.0000 0.5000
4 Li 0.5000 0.5000 0.0000
5 Ga 0.0000 0.0000 0.5000
6 Bi 0.0000 0.5000 0.0000
7 Bi 0.5000 0.0000 0.0000
8 Bi 0.5000 0.5000 0.5000
9 S 0.2179 0.7681 0.7304
10 S 0.2319 0.7821 0.2696
11 S 0.2433 0.2433 0.2552
12 S 0.2436 0.2436 0.7317
13 S 0.7564 0.7564 0.2683
14 S 0.7567 0.7567 0.7448
15 S 0.7681 0.2179 0.7304
16 S 0.7821 0.2319 0.2696

[4]
This entry pairs a crystal structure of LuGa2Bi with its simulated powder diffraction line list. Radiation: a wavelength of 1.5418 Å. Structure: a GGA-PBE-relaxed structure.
Neutral-atom scattering factors, no anomalous dispersion.

Top 10 peaks for 10° ≤ 2θ ≤ 90°, low angle first:
- 2θ 20.4, intensity 17
- 2θ 27.4, intensity 17
- 2θ 34.5, intensity 100
- 2θ 39.2, intensity 35
- 2θ 41.6, intensity 15
- 2θ 56.7, intensity 12
- 2θ 58.5, intensity 22
- 2θ 68.0, intensity 28
- 2θ 71.3, intensity 12
- 2θ 72.7, intensity 12

Structural model:
Lattice parameters (Å, degrees): 4.5953 4.5953 4.3464 90.00 90.00 90.00
Fractional coordinates of all 4 atoms:
1 Lu 0.0000 0.0000 0.0000
2 Ga 0.0000 0.5000 0.5000
3 Ga 0.5000 0.0000 0.5000
4 Bi 0.5000 0.5000 0.0000

[5]
This entry pairs a crystal structure of Mg6GaBi with its simulated powder diffraction line list. Radiation: a wavelength of 1.5418 Å. Structure: a GGA-PBE-relaxed structure.
Neutral-atom scattering factors, no anomalous dispersion.

Top 10 peaks for 10° ≤ 2θ ≤ 90°, low angle first:
- 2θ 15.7, intensity 66
- 2θ 17.6, intensity 33
- 2θ 23.7, intensity 59
- 2θ 27.4, intensity 20
- 2θ 31.7, intensity 41
- 2θ 32.7, intensity 25
- 2θ 35.6, intensity 22
- 2θ 36.5, intensity 100
- 2θ 48.4, intensity 30
- 2θ 56.5, intensity 26

Structural model:
Lattice parameters (Å, degrees): 5.0433 6.5249 11.2813 90.00 90.00 90.00
Fractional coordinates of all 16 atoms:
1 Mg 0.0000 0.0000 0.0000
2 Mg 0.0000 0.0000 0.4903
3 Mg 0.0000 0.2323 0.2404
4 Mg 0.0000 0.2677 0.7404
5 Mg 0.0000 0.5000 0.5000
6 Mg 0.0000 0.5000 0.9903
7 Mg 0.0000 0.7323 0.7404
8 Mg 0.0000 0.7677 0.2404
9 Mg 0.5000 0.2474 0.5746
10 Mg 0.5000 0.2526 0.0746
11 Mg 0.5000 0.7474 0.0746
12 Mg 0.5000 0.7526 0.5746
13 Ga 0.5000 0.0000 0.3319
14 Ga 0.5000 0.5000 0.8319
15 Bi 0.5000 0.0000 0.8242
16 Bi 0.5000 0.5000 0.3242

[6]
This entry pairs a crystal structure of Mg2GaBiO6 with its simulated powder diffraction line list. Radiation: a wavelength of 1.5418 Å. Structure: a GGA-PBE-relaxed structure.
Neutral-atom scattering factors, no anomalous dispersion.

Top 10 peaks for 10° ≤ 2θ ≤ 90°, low angle first:
- 2θ 20.4, intensity 37
- 2θ 23.1, intensity 100
- 2θ 32.0, intensity 69
- 2θ 33.9, intensity 53
- 2θ 39.0, intensity 22
- 2θ 41.4, intensity 20
- 2θ 47.3, intensity 28
- 2θ 51.9, intensity 39
- 2θ 59.4, intensity 27
- 2θ 60.6, intensity 20

Structural model:
Lattice parameters (Å, degrees): 5.6213 5.6213 5.6213 56.14 56.14 56.14
Fractional coordinates of all 10 atoms:
1 Mg 0.0000 0.0000 0.0000
2 Mg 0.4981 0.4981 0.4981
3 Ga 0.7109 0.7109 0.7109
4 Bi 0.2084 0.2084 0.2084
5 O 0.0911 0.7998 0.4157
6 O 0.3137 0.6109 0.8946
7 O 0.4157 0.0911 0.7998
8 O 0.6109 0.8946 0.3137
9 O 0.7998 0.4157 0.0911
10 O 0.8946 0.3137 0.6109

[7]
This entry pairs a crystal structure of MgGaBiS4 with its simulated powder diffraction line list. Radiation: a wavelength of 1.5418 Å. Structure: a GGA-PBE-relaxed structure.
Neutral-atom scattering factors, no anomalous dispersion.

Top 10 peaks for 10° ≤ 2θ ≤ 90°, low angle first:
- 2θ 14.0, intensity 71
- 2θ 16.3, intensity 37
- 2θ 23.0, intensity 37
- 2θ 27.1, intensity 63
- 2θ 27.4, intensity 100
- 2θ 33.1, intensity 39
- 2θ 37.1, intensity 23
- 2θ 43.2, intensity 39
- 2θ 47.3, intensity 62
- 2θ 56.0, intensity 20

Structural model:
Lattice parameters (Å, degrees): 7.6811 7.6811 7.6811 120.79 119.50 89.75
Fractional coordinates of all 14 atoms:
1 Mg 0.0000 0.0000 0.0000
2 Mg 0.5000 0.0000 0.5000
3 Ga 0.3699 0.6199 0.7500
4 Ga 0.6301 0.3801 0.2500
5 Bi 0.0000 0.0000 0.5000
6 Bi 0.0000 0.5000 0.0000
7 S 0.2570 0.2423 0.0146
8 S 0.2568 0.2445 0.4878
9 S 0.2568 0.7690 0.0122
10 S 0.2723 0.7577 0.5146
11 S 0.7277 0.2423 0.4854
12 S 0.7432 0.2310 0.9878
13 S 0.7432 0.7555 0.5122
14 S 0.7430 0.7577 0.9854

[8]
This entry pairs a crystal structure of GaBiN2 with its simulated powder diffraction line list. Radiation: a wavelength of 1.5418 Å. Structure: a GGA-PBE-relaxed structure.
Neutral-atom scattering factors, no anomalous dispersion.

Top 10 peaks for 10° ≤ 2θ ≤ 90°, low angle first:
- 2θ 18.1, intensity 38
- 2θ 24.0, intensity 43
- 2θ 25.9, intensity 56
- 2θ 27.7, intensity 39
- 2θ 28.9, intensity 55
- 2θ 31.1, intensity 40
- 2θ 31.6, intensity 100
- 2θ 37.7, intensity 34
- 2θ 42.5, intensity 26
- 2θ 55.1, intensity 26

Structural model:
Lattice parameters (Å, degrees): 7.6203 6.5340 5.8208 90.00 103.73 90.00
Fractional coordinates of all 16 atoms:
1 Ga 0.1261 0.1394 0.1361
2 Ga 0.1261 0.3606 0.6361
3 Ga 0.8739 0.6394 0.3639
4 Ga 0.8739 0.8606 0.8639
5 Bi 0.3063 0.6153 0.1875
6 Bi 0.3063 0.8847 0.6875
7 Bi 0.6937 0.1153 0.3125
8 Bi 0.6937 0.3847 0.8125
9 N 0.1466 0.6254 0.4684
10 N 0.1466 0.8746 0.9684
11 N 0.2149 0.1472 0.4705
12 N 0.2149 0.3528 0.9705
13 N 0.7851 0.6472 0.0295
14 N 0.7851 0.8528 0.5295
15 N 0.8534 0.1254 0.0316
16 N 0.8534 0.3746 0.5316

[9]
This entry pairs a crystal structure of Ga4Bi3N with its simulated powder diffraction line list. Radiation: a wavelength of 1.5418 Å. Structure: a GGA-PBE-relaxed structure.
Neutral-atom scattering factors, no anomalous dispersion.

Top 10 peaks for 10° ≤ 2θ ≤ 90°, low angle first:
- 2θ 25.5, intensity 66
- 2θ 26.6, intensity 100
- 2θ 28.9, intensity 25
- 2θ 30.7, intensity 27
- 2θ 33.3, intensity 45
- 2θ 38.3, intensity 23
- 2θ 39.1, intensity 29
- 2θ 42.9, intensity 25
- 2θ 44.1, intensity 28
- 2θ 44.4, intensity 26

Structural model:
Lattice parameters (Å, degrees): 4.2205 9.0602 10.9911 90.00 90.00 90.00
Fractional coordinates of all 16 atoms:
1 Ga 0.0000 0.0000 0.0000
2 Ga 0.0000 0.0000 0.4833
3 Ga 0.0000 0.5000 0.5000
4 Ga 0.0000 0.5000 0.9833
5 Ga 0.5000 0.1736 0.8095
6 Ga 0.5000 0.3264 0.3095
7 Ga 0.5000 0.6736 0.3095
8 Ga 0.5000 0.8264 0.8095
9 Bi 0.0000 0.2319 0.6474
10 Bi 0.0000 0.2681 0.1474
11 Bi 0.0000 0.7319 0.1474
12 Bi 0.0000 0.7681 0.6474
13 Bi 0.5000 0.0000 0.3156
14 Bi 0.5000 0.5000 0.8156
15 N 0.5000 0.0000 0.9154
16 N 0.5000 0.5000 0.4154

[10]
This entry pairs a crystal structure of Sm4GaBiN with its simulated powder diffraction line list. Radiation: a wavelength of 1.5418 Å. Structure: a GGA-PBE-relaxed structure.
Neutral-atom scattering factors, no anomalous dispersion.

Top 10 peaks for 10° ≤ 2θ ≤ 90°, low angle first:
- 2θ 26.1, intensity 17
- 2θ 28.4, intensity 75
- 2θ 33.5, intensity 39
- 2θ 34.5, intensity 100
- 2θ 37.3, intensity 63
- 2θ 50.9, intensity 43
- 2θ 64.1, intensity 18
- 2θ 65.4, intensity 16
- 2θ 65.5, intensity 16
- 2θ 88.3, intensity 15

Structural model:
Lattice parameters (Å, degrees): 8.7267 8.7267 6.8341 90.00 90.00 134.03
Fractional coordinates of all 14 atoms:
1 Sm 0.0000 0.5000 0.0000
2 Sm 0.0000 0.5000 0.5000
3 Sm 0.0824 0.9176 0.7500
4 Sm 0.4061 0.5939 0.7500
5 Sm 0.5000 0.0000 0.0000
6 Sm 0.5000 0.0000 0.5000
7 Sm 0.5939 0.4061 0.2500
8 Sm 0.9176 0.0824 0.2500
9 Ga 0.1159 0.8841 0.2500
10 Ga 0.8841 0.1159 0.7500
11 Bi 0.3955 0.6045 0.2500
12 Bi 0.6045 0.3955 0.7500
13 N 0.2446 0.7554 0.7500
14 N 0.7554 0.2446 0.2500

[11]
This entry pairs a crystal structure of NaGaBi2 with its simulated powder diffraction line list. Radiation: a wavelength of 1.5418 Å. Structure: a GGA-PBE-relaxed structure.
Neutral-atom scattering factors, no anomalous dispersion.

Top 10 peaks for 10° ≤ 2θ ≤ 90°, low angle first:
- 2θ 18.3, intensity 100
- 2θ 25.9, intensity 45
- 2θ 26.6, intensity 42
- 2θ 31.7, intensity 72
- 2θ 32.0, intensity 70
- 2θ 32.3, intensity 69
- 2θ 32.6, intensity 67
- 2θ 37.1, intensity 48
- 2θ 37.4, intensity 93
- 2θ 53.7, intensity 33

Structural model:
Lattice parameters (Å, degrees): 3.4448 4.8450 6.7119 89.44 89.97 89.52
Fractional coordinates of all 4 atoms:
1 Na 0.0000 0.0000 0.0000
2 Ga 0.9863 0.9998 0.5000
3 Bi 0.4969 0.4985 0.2527
4 Bi 0.5013 0.5017 0.7474

[12]
This entry pairs a crystal structure of Na3Ga5Bi2 with its simulated powder diffraction line list. Radiation: a wavelength of 1.5418 Å. Structure: a GGA-PBE-relaxed structure.
Neutral-atom scattering factors, no anomalous dispersion.

Top 10 peaks for 10° ≤ 2θ ≤ 90°, low angle first:
- 2θ 20.5, intensity 100
- 2θ 21.0, intensity 26
- 2θ 29.1, intensity 22
- 2θ 30.8, intensity 21
- 2θ 31.1, intensity 24
- 2θ 38.8, intensity 44
- 2θ 40.2, intensity 21
- 2θ 40.4, intensity 24
- 2θ 41.7, intensity 28
- 2θ 44.4, intensity 21

Structural model:
Lattice parameters (Å, degrees): 9.5773 9.5773 9.5773 100.51 92.85 140.17
Fractional coordinates of all 20 atoms:
1 Na 0.1119 0.7325 0.8444
2 Na 0.2500 0.2500 0.0000
3 Na 0.3881 0.2325 0.6206
4 Na 0.6119 0.7675 0.3794
5 Na 0.7500 0.7500 0.0000
6 Na 0.8881 0.2675 0.1556
7 Ga 0.0120 0.7500 0.2620
8 Ga 0.1209 0.3858 0.5067
9 Ga 0.2500 0.7500 0.5000
10 Ga 0.3791 0.8858 0.2649
11 Ga 0.4880 0.7500 0.7380
12 Ga 0.5120 0.2500 0.2620
13 Ga 0.6209 0.1142 0.7351
14 Ga 0.7500 0.2500 0.5000
15 Ga 0.8791 0.6142 0.4933
16 Ga 0.9880 0.2500 0.7380
17 Bi 0.1440 0.1576 0.3016
18 Bi 0.3560 0.6576 0.0136
19 Bi 0.6440 0.3424 0.9864
20 Bi 0.8560 0.8424 0.6984